Theoretical powder X-ray diffraction pattern
Compound: Zr3Co4Bi4
Radiation: CuKα
Structure: a crystal structure in OQMD, relaxed with GGA-PBE
Kinematic intensities with the Lorentz-polarization factor, no thermal factor.

Crystal structure
Unit cell a=7.587 b=7.587 c=7.587 alpha=131.66 beta=131.66 gamma=70.77
Element x y z (fractional)
Zr1 0.000 0.000 0.000
Zr2 0.250 0.750 0.500
Zr3 0.750 0.250 0.500
Co1 0.122 0.628 0.000
Co2 0.372 0.372 0.494
Co3 0.628 0.122 0.000
Co4 0.878 0.878 0.506
Bi1 0.000 0.500 0.500
Bi2 0.258 0.258 0.000
Bi3 0.500 0.000 0.500
Bi4 0.742 0.742 0.000

Main lines, by angle (10 to 90 degrees two-theta):
| d (Å) | 2θ/deg | I/Imax |
| --- | --- | --- |
| 3.582 | 24.86 | 48 |
| 3.107 | 28.73 | 35 |
| 3.093 | 28.87 | 17 |
| 2.194 | 41.15 | 100 |
| 1.873 | 48.62 | 17 |
| 1.791 | 50.99 | 15 |
| 1.553 | 59.51 | 11 |
| 1.389 | 67.43 | 13 |
| 1.267 | 74.93 | 23 |
| 1.265 | 75.13 | 11 |